(1)
Cu2Ag4F9: calculated powder X-ray diffraction pattern (copper Kα), based on a DFT-relaxed cell (PBE, Alexandria).
Lines closer than 0.1° are merged.

Largest 10 diffraction maxima, by angle, 10° ≤ 2θ ≤ 90°:
Position (°2θ)	intensity	(hkl)
21.19	518	0 1 2
29.21	493	0 1 -4
29.75	958	1 0 4
30.52	1000	1 1 0
31.09	488	2 -1 0
43.16	540	2 -2 4
47.30	285	1 -2 6
48.01	331	-1 2 6
48.05	274	2 -1 6
54.96	280	3 -3 0

```
data_Cu2Ag4F9
_chemical_formula_sum 'Cu4 Ag8 F18'
_symmetry_space_group_name_H-M 'P -1'
_symmetry_Int_Tables_number 2
_symmetry_space_group_name_Hall '-P 1'
_cell_length_a 5.7533
_cell_length_b 5.8580
_cell_length_c 15.0927
_cell_angle_alpha 90.81
_cell_angle_beta 90.01
_cell_angle_gamma 119.37
loop_
_atom_site_label
_atom_site_fract_x
_atom_site_fract_y
_atom_site_fract_z
Cu1 0.0237 0.4878 0.1525
Cu2 0.0372 0.5135 0.3476
Ag1 0.3109 0.1726 0.8128
Ag2 0.3238 0.1509 0.0177
Ag3 0.3270 0.1503 0.5179
Ag4 0.3634 0.1746 0.3129
F1 0.0080 0.7739 0.0965
F2 0.0459 0.8241 0.4134
F3 0.0514 0.2426 0.2362
F4 0.2152 0.4977 0.7500
F5 0.2646 0.7728 0.5968
F6 0.2797 0.8247 0.9128
F7 0.3106 0.4851 0.4164
F8 0.3114 0.7602 0.2648
F9 0.3246 0.5149 0.0839
```



(2)
LaPr5Hg: calculated powder X-ray diffraction pattern (copper Kα), based on a DFT-relaxed cell (PBE, Alexandria).
Lines closer than 0.1° are merged.

Largest 10 diffraction maxima, by angle, 10° ≤ 2θ ≤ 90°:
Position (°2θ)	intensity	(hkl)
27.73	635	1 1 3
28.80	778	2 2 -1
29.02	505	2 2 0
29.85	739	0 2 3
31.48	1000	2 0 -4
31.68	428	3 1 -1
32.39	418	3 1 0
32.68	721	1 3 0
34.26	306	1 1 4
42.46	386	1 3 -4

```
data_LaPr5Hg
_chemical_formula_sum 'La4 Pr20 Hg4'
_symmetry_space_group_name_H-M 'C 1 2/c 1'
_symmetry_Int_Tables_number 15
_symmetry_space_group_name_Hall '-C 2yc'
_cell_length_a 8.9654
_cell_length_b 8.6563
_cell_length_c 12.7328
_cell_angle_alpha 90.00
_cell_angle_beta 102.55
_cell_angle_gamma 90.00
loop_
_atom_site_label
_atom_site_fract_x
_atom_site_fract_y
_atom_site_fract_z
La1 0.0000 0.0293 0.2500
Pr1 0.0000 0.3623 0.7500
Pr2 0.1468 0.3628 0.0655
Pr3 0.2162 0.3253 0.3660
Hg1 0.0000 0.0000 0.0000
```



(3)
Dy5Y8Mg: calculated powder X-ray diffraction pattern (copper Kα), based on a DFT-relaxed cell (PBE, Alexandria).
Lines closer than 0.1° are merged.

Largest 10 diffraction maxima, by angle, 10° ≤ 2θ ≤ 90°:
Position (°2θ)	intensity	(hkl)
13.04	222	1 1 0
28.40	353	1 0 3
29.31	536	3 0 1
29.42	710	3 1 0
31.89	218	2 2 2
34.10	1000	1 2 3
34.59	266	1 3 2
34.88	394	3 2 1
55.24	353	0 0 6
86.89	192	8 1 3

```
data_Dy5Y8Mg
_chemical_formula_sum 'Dy10 Y16 Mg2'
_symmetry_space_group_name_H-M 'I -4'
_symmetry_Int_Tables_number 82
_symmetry_space_group_name_Hall 'I -4'
_cell_length_a 9.6002
_cell_length_b 9.6002
_cell_length_c 9.9762
_cell_angle_alpha 90.00
_cell_angle_beta 90.00
_cell_angle_gamma 90.00
loop_
_atom_site_label
_atom_site_fract_x
_atom_site_fract_y
_atom_site_fract_z
Dy1 0.0000 0.0000 0.0000
Dy2 0.1037 0.2087 0.5785
Y1 0.0692 0.3252 0.9075
Y2 0.0860 0.1820 0.2460
Mg1 0.0000 0.5000 0.2500
```



(4)
YPaRu: calculated powder X-ray diffraction pattern (copper Kα), based on a DFT-relaxed cell (PBE, Alexandria).
Lines closer than 0.1° are merged.

Largest 10 diffraction maxima, by angle, 10° ≤ 2θ ≤ 90°:
Position (°2θ)	intensity	(hkl)
13.18	465	1 0 0
19.74	601	1 1 0
29.62	420	1 1 -2
30.43	553	2 1 0
32.35	937	0 2 1
32.60	707	1 0 2
34.92	932	2 1 -2
36.52	1000	1 2 1
40.78	403	1 1 -3
41.39	430	3 0 -2

```
data_YPaRu
_chemical_formula_sum 'Y4 Pa4 Ru4'
_symmetry_space_group_name_H-M 'P 1 21/c 1'
_symmetry_Int_Tables_number 14
_symmetry_space_group_name_Hall '-P 2ybc'
_cell_length_a 7.0132
_cell_length_b 6.0530
_cell_length_c 7.1418
_cell_angle_alpha 90.00
_cell_angle_beta 106.66
_cell_angle_gamma 90.00
loop_
_atom_site_label
_atom_site_fract_x
_atom_site_fract_y
_atom_site_fract_z
Y1 0.1492 0.1404 0.3638
Pa1 0.4103 0.6571 0.3035
Ru1 0.1798 0.6271 0.5161
```



(5)
Pa4Ga5Co2: calculated powder X-ray diffraction pattern (copper Kα), based on a DFT-relaxed cell (PBE, Alexandria).
Lines closer than 0.1° are merged.

Largest 10 diffraction maxima, by angle, 10° ≤ 2θ ≤ 90°:
Position (°2θ)	intensity	(hkl)
30.55	655	2 0 -2
32.27	507	1 0 3
35.79	1000	1 1 -2
36.69	926	1 1 2
37.62	758	2 1 0
39.32	639	2 1 1
39.76	663	2 0 3
40.11	578	1 0 -4
40.48	599	0 1 3
41.76	762	2 1 -2

```
data_Pa4Ga5Co2
_chemical_formula_sum 'Pa4 Ga5 Co2'
_symmetry_space_group_name_H-M 'P 1 2/m 1'
_symmetry_Int_Tables_number 10
_symmetry_space_group_name_Hall '-P 2y'
_cell_length_a 7.1651
_cell_length_b 3.2155
_cell_length_c 9.2923
_cell_angle_alpha 90.00
_cell_angle_beta 93.70
_cell_angle_gamma 90.00
loop_
_atom_site_label
_atom_site_fract_x
_atom_site_fract_y
_atom_site_fract_z
Pa1 0.1583 0.0000 0.3704
Pa2 0.2470 0.0000 0.9507
Ga1 0.2037 0.5000 0.6649
Ga2 0.4449 0.5000 0.2016
Ga3 0.5000 0.5000 0.5000
Co1 0.0645 0.5000 0.1423
```



(6)
BeSb: calculated powder X-ray diffraction pattern (copper Kα), based on a DFT-relaxed cell (PBE, Alexandria).
Lines closer than 0.1° are merged.

Largest 10 diffraction maxima, by angle, 10° ≤ 2θ ≤ 90°:
Position (°2θ)	intensity	(hkl)
22.64	1000	0 0 2
28.82	990	0 1 -1
29.27	197	1 0 0
29.69	200	1 1 0
31.45	626	1 0 -1
31.84	592	1 1 1
37.66	176	1 1 2
43.78	357	0 1 -3
45.95	239	1 1 3
53.86	180	1 -1 2

```
data_BeSb
_chemical_formula_sum 'Be2 Sb2'
_symmetry_space_group_name_H-M 'P -1'
_symmetry_Int_Tables_number 2
_symmetry_space_group_name_Hall '-P 1'
_cell_length_a 3.3928
_cell_length_b 3.7476
_cell_length_c 7.8544
_cell_angle_alpha 89.99
_cell_angle_beta 89.88
_cell_angle_gamma 64.09
loop_
_atom_site_label
_atom_site_fract_x
_atom_site_fract_y
_atom_site_fract_z
Be1 0.1559 0.1940 0.4372
Sb1 0.1558 0.1911 0.7486
```



(7)
Pm2SmPd3: calculated powder X-ray diffraction pattern (copper Kα), based on a DFT-relaxed cell (PBE, Alexandria).
Lines closer than 0.1° are merged.

Largest 10 diffraction maxima, by angle, 10° ≤ 2θ ≤ 90°:
Position (°2θ)	intensity	(hkl)
34.94	524	2 0 0
35.54	1000	1 3 1
50.25	186	2 6 0
52.04	84	0 0 2
63.06	372	3 3 1
64.22	176	2 0 2
75.25	111	2 6 2
84.34	83	4 6 0
84.69	82	3 9 1
87.48	77	1 3 3

```
data_Pm2SmPd3
_chemical_formula_sum 'Pm4 Sm2 Pd6'
_symmetry_space_group_name_H-M 'P m m n'
_symmetry_Int_Tables_number 59
_cell_length_a 5.1350
_cell_length_b 15.4088
_cell_length_c 3.5150
_cell_angle_alpha 90.00
_cell_angle_beta 90.00
_cell_angle_gamma 90.00
loop_
_symmetry_equiv_pos_as_xyz
'x,y,z'
'-x,-y,-z'
'-x+1/2,-y+1/2,z'
'x+1/2,y+1/2,-z'
'x+1/2,-y,-z'
'-x+1/2,y,z'
'-x,y+1/2,-z'
'x,-y+1/2,z'
loop_
_atom_site_label
_atom_site_fract_x
_atom_site_fract_y
_atom_site_fract_z
Pm1 0.2500 0.0833 0.9996
Sm1 0.2500 0.7500 0.0008
Pd1 0.2500 0.2500 0.4995
Pd2 0.2500 0.5854 0.5002
```



(8)
AcTh2Cd9: calculated powder X-ray diffraction pattern (copper Kα), based on a DFT-relaxed cell (PBE, Alexandria).
Lines closer than 0.1° are merged.

Largest 10 diffraction maxima, by angle, 10° ≤ 2θ ≤ 90°:
Position (°2θ)	intensity	(hkl)
27.37	266	1 0 7
29.53	383	1 1 0
29.88	204	0 1 8
34.37	307	0 2 1
34.95	1000	1 1 6
37.04	182	0 0 12
37.64	144	2 0 5
55.95	257	0 3 6
61.28	224	2 2 0
87.68	148	4 1 6

```
data_AcTh2Cd9
_chemical_formula_sum 'Ac3 Th6 Cd27'
_symmetry_space_group_name_H-M 'R -3 m'
_symmetry_Int_Tables_number 166
_symmetry_space_group_name_Hall '-R 3 2"'
_cell_length_a 6.0509
_cell_length_b 6.0509
_cell_length_c 29.1271
_cell_angle_alpha 90.00
_cell_angle_beta 90.00
_cell_angle_gamma 120.00
loop_
_atom_site_label
_atom_site_fract_x
_atom_site_fract_y
_atom_site_fract_z
Ac1 0.0000 0.0000 0.0000
Th1 0.0000 0.0000 0.1461
Cd1 0.0000 0.0000 0.3354
Cd2 0.0000 0.0000 0.5000
Cd3 0.0073 0.5036 0.9153
```